# 1
Starting from the GGA+U geometry in Alexandria, the powder diffraction line list of CsPaCrO6 was calculated for Cu Kα, 1.54184 Å.

Structural model:
Cell: 7.1375 7.9483 10.7947 Å, 90.00 90.00 90.00°
Space group Imma (No. 74)
One atom of each set of equivalent atoms:
1 Cs 0.0000 0.2500 0.1171
2 Pa 0.0000 0.0000 0.5000
3 Cr 0.2500 0.2500 0.7500
4 O 0.0000 0.2500 0.4189
5 O 0.0000 0.2500 0.7893
6 O 0.2074 0.0853 0.6333

Principal peaks in the range 5 to 70 degrees two-theta, low angle first:
| d_spacing | Position (°2θ) | I/Imax | h k l |
| --- | --- | --- | --- |
| 5.954 | 14.9 | 45.7 | 1 0 1 |
| 5.397 | 16.4 | 21.9 | 0 0 2 |
| 3.569 | 25.0 | 22.7 | 2 0 0 |
| 3.305 | 27.0 | 100.0 | 1 2 1 |
| 3.213 | 27.8 | 41.8 | 1 0 3 |
| 3.200 | 27.9 | 33.5 | 0 2 2 |
| 2.977 | 30.0 | 32.7 | 2 0 2 |
| 2.006 | 45.2 | 22.3 | 3 2 1 |
| 1.986 | 45.7 | 24.7 | 0 4 0 |
| 1.893 | 48.1 | 38.1 | 2 2 4 |

=====

# 2
Starting from the GGA+U geometry in Alexandria, the powder diffraction line list of CsCr2Pb2O7 was calculated for Cu Kα, 1.54184 Å.

Structural model:
Cell: 5.9495 5.9495 25.7847 Å, 90.00 90.00 120.00°
Space group R32 (No. 155, hexagonal axes)
One atom of each set of equivalent atoms:
1 Cs 0.0000 0.0000 0.0000
2 Cr 0.0000 0.0000 0.4295
3 Pb 0.0000 0.0000 0.2081
4 O 0.0000 0.0000 0.5000
5 O 0.0180 0.4413 0.0767

Principal peaks in the range 5 to 70 degrees two-theta, low angle first:
| d_spacing | Position (°2θ) | I/Imax | h k l |
| --- | --- | --- | --- |
| 8.595 | 10.3 | 22.0 | 0 0 3 |
| 4.025 | 22.1 | 38.9 | 1 0 4 |
| 3.645 | 24.4 | 100.0 | 0 1 5 |
| 2.975 | 30.0 | 65.3 | 1 1 0 |
| 2.811 | 31.8 | 12.4 | 1 1 3 |
| 2.305 | 39.1 | 40.7 | 2 0 5 |
| 2.064 | 43.9 | 27.7 | 1 1 9 |
| 1.822 | 50.1 | 36.4 | 1 2 5 |
| 1.717 | 53.3 | 14.9 | 3 0 0 |
| 1.488 | 62.4 | 13.7 | 2 2 0 |

=====

# 3
Starting from the GGA+U geometry in Alexandria, the powder diffraction line list of CsCrPb2O4 was calculated for Cu Kα, 1.54184 Å.

Structural model:
Cell: 7.2341 9.5362 5.5191 Å, 90.00 117.55 90.00°
Space group Cm (No. 8)
One atom of each set of equivalent atoms:
1 Cs 0.0000 0.0000 0.0000
2 Cr 0.0306 0.5000 0.0726
3 Pb 0.4873 0.2267 0.5270
4 O 0.0141 0.5000 0.7248
5 O 0.2863 0.5000 0.3378
6 O 0.3943 0.1554 0.0972

Principal peaks in the range 5 to 70 degrees two-theta, low angle first:
| d_spacing | Position (°2θ) | I/Imax | h k l |
| --- | --- | --- | --- |
| 4.893 | 18.1 | 15.7 | 0 0 1 |
| 3.415 | 26.1 | 100.0 | 0 2 1 |
| 3.207 | 27.8 | 51.2 | 2 0 0 |
| 2.841 | 31.5 | 80.6 | 2 2 -1 |
| 2.614 | 34.3 | 26.8 | 2 0 -2 |
| 2.447 | 36.7 | 22.6 | 0 0 2 |
| 2.384 | 37.7 | 18.2 | 0 4 0 |
| 2.033 | 44.6 | 25.4 | 2 2 1 |
| 1.913 | 47.5 | 17.5 | 2 4 0 |
| 1.761 | 51.9 | 15.7 | 2 4 -2 |

=====

# 4
Starting from the GGA+U geometry in Alexandria, the powder diffraction line list of CsRb2Cr2O7 was calculated for Cu Kα, 1.54184 Å.

Structural model:
Cell: 6.8594 6.8594 23.4993 Å, 90.00 90.00 120.00°
Space group R32 (No. 155, hexagonal axes)
One atom of each set of equivalent atoms:
1 Cs 0.0000 0.0000 0.0000
2 Rb 0.0000 0.0000 0.2710
3 Cr 0.0000 0.0000 0.4248
4 O 0.0000 0.0000 0.5000
5 O 0.0270 0.2419 0.5992

Principal peaks in the range 5 to 70 degrees two-theta, low angle first:
| d_spacing | Position (°2θ) | I/Imax | h k l |
| --- | --- | --- | --- |
| 7.833 | 11.3 | 50.8 | 0 0 3 |
| 4.177 | 21.3 | 48.4 | 1 0 4 |
| 3.430 | 26.0 | 100.0 | 1 1 0 |
| 3.142 | 28.4 | 23.0 | 1 1 3 |
| 2.923 | 30.6 | 52.9 | 1 0 7 |
| 2.651 | 33.8 | 26.9 | 0 2 4 |
| 2.224 | 40.6 | 23.9 | 0 2 7 |
| 2.097 | 43.1 | 24.7 | 2 1 4 |
| 1.980 | 45.8 | 22.6 | 3 0 0 |
| 1.866 | 48.8 | 22.8 | 2 1 7 |